1.
La4NdGe4: theoretical XRD peak list (Cu Kα (weighted mean of Kα1 and Kα2)), based on a GGA-PBE-relaxed structure.

Atomic structure:
abc: 9.2928 9.2928 6.2621
angles: 90.00 90.00 90.00
Atoms (fractional coordinates):
1 La 0.0459 0.6700 0.1165
2 La 0.1700 0.9541 0.6165
3 La 0.3300 0.5459 0.6165
4 La 0.4541 0.8300 0.1165
5 La 0.5459 0.1700 0.8835
6 La 0.6700 0.4541 0.3835
7 La 0.8300 0.0459 0.3835
8 La 0.9541 0.3300 0.8835
9 Nd 0.2500 0.2500 0.2500
10 Nd 0.7500 0.7500 0.7500
11 Ge 0.0171 0.6268 0.6048
12 Ge 0.1268 0.9829 0.1048
13 Ge 0.3732 0.5171 0.1048
14 Ge 0.4829 0.8732 0.6048
15 Ge 0.5171 0.1268 0.3952
16 Ge 0.6268 0.4829 0.8952
17 Ge 0.8732 0.0171 0.8952
18 Ge 0.9829 0.3732 0.3952

Peak list (10 most intense, 2θ from 5° to 70°, by intensity)
d_spacing, intensity
2.939, 100.0
3.463, 45.8
2.967, 43.8
2.501, 40.8
1.990, 31.2
2.078, 31.2
1.829, 20.8
1.782, 14.1
1.511, 12.4
1.382, 12.2



2.
LaPmSc2: theoretical XRD peak list (Cu Kα (weighted mean of Kα1 and Kα2)), based on a GGA-PBE-relaxed structure.

Atomic structure:
abc: 3.4983 3.4983 33.3901
angles: 90.00 90.00 120.00
Atoms (fractional coordinates):
1 La 0.0000 0.0000 0.0000
2 La 0.3333 0.6667 0.6667
3 La 0.6667 0.3333 0.3333
4 Pm 0.0000 0.0000 0.1663
5 Pm 0.3333 0.6667 0.8330
6 Pm 0.6667 0.3333 0.4997
7 Sc 0.0000 0.0000 0.4167
8 Sc 0.0000 0.0000 0.5834
9 Sc 0.3333 0.6667 0.0834
10 Sc 0.3333 0.6667 0.2500
11 Sc 0.6667 0.3333 0.7500
12 Sc 0.6667 0.3333 0.9167

Peak list (10 most intense, 2θ from 5° to 70°, by intensity)
d_spacing, intensity
2.759, 100.0
2.557, 82.0
5.565, 68.0
2.783, 48.3
3.017, 43.2
1.481, 40.6
1.749, 35.6
2.981, 35.2
1.648, 20.4
2.848, 18.0



3.
NaAs4Pd4: theoretical XRD peak list (Cu Kα (weighted mean of Kα1 and Kα2)), based on a GGA-PBE-relaxed structure.

Atomic structure:
abc: 6.4382 6.4382 6.4382
angles: 97.15 97.15 138.70
Atoms (fractional coordinates):
1 Na 0.0000 0.0000 0.0000
2 As 0.2554 0.3721 0.6275
3 As 0.3721 0.7446 0.1166
4 As 0.6279 0.2554 0.8834
5 As 0.7446 0.6279 0.3725
6 Pd 0.0727 0.6450 0.7177
7 Pd 0.3550 0.0727 0.4277
8 Pd 0.6450 0.9273 0.5723
9 Pd 0.9273 0.3550 0.2823

Peak list (10 most intense, 2θ from 5° to 70°, by intensity)
d_spacing, intensity
2.096, 100.0
6.025, 86.7
2.694, 79.3
2.408, 63.0
2.271, 49.4
1.736, 41.9
1.881, 22.3
1.460, 20.0
1.905, 14.7
2.125, 11.8